The following is a calculated X-ray diffraction stick pattern of CsYV2O6. It was derived from the GGA+U geometry in Alexandria, using Cu Kα.

Most intense lines, 2θ = 10–80°, sorted by position:
two_theta, I/Imax
16.5, 19
20.6, 14
23.0, 14
24.0, 16
26.2, 100
27.3, 19
30.1, 36
30.4, 81
33.2, 25
37.7, 16
39.6, 17
49.4, 19

Cell and atoms:
Cell: 7.5341 7.5341 6.1124 Å, 99.84 99.84 85.33°
Fractional coordinates of all 20 atoms:
Cs: 0.1783 0.8217 0.7500
Cs: 0.8217 0.1783 0.2500
Y: 0.4011 0.5989 0.2500
Y: 0.5989 0.4011 0.7500
V: 0.1332 0.3124 0.8266
V: 0.3124 0.1332 0.3266
V: 0.6876 0.8668 0.6734
V: 0.8668 0.6876 0.1734
O: 0.0951 0.6102 0.2336
O: 0.1682 0.1769 0.0579
O: 0.1769 0.1682 0.5579
O: 0.3290 0.4541 0.8866
O: 0.3898 0.9049 0.2664
O: 0.4541 0.3290 0.3866
O: 0.5459 0.6710 0.6134
O: 0.6102 0.0951 0.7336
O: 0.6710 0.5459 0.1134
O: 0.8231 0.8318 0.4421
O: 0.8318 0.8231 0.9421
O: 0.9049 0.3898 0.7664